TlP5: computed powder XRD pattern (Cu Ka), based on a crystal structure in the Materials Project, relaxed with GGA-PBE.

Structure:
Cell lengths 6.5212, 7.2636, 12.3959 Å; angles 90.00, 90.00, 90.00 degrees
Positions (direct):
Tl: 0.0000 0.0314 0.0000
Tl: 0.0000 0.9686 0.5000
Tl: 0.5000 0.2248 0.6613
Tl: 0.5000 0.7752 0.1613
P: 0.0000 0.3476 0.1715
P: 0.0000 0.3574 0.7021
P: 0.0000 0.3901 0.8749
P: 0.0000 0.6099 0.3749
P: 0.0000 0.6426 0.2021
P: 0.0000 0.6524 0.6715
P: 0.2459 0.4113 0.4197
P: 0.2459 0.5887 0.9197
P: 0.2507 0.2285 0.2706
P: 0.2507 0.7715 0.7706
P: 0.5000 0.1877 0.0226
P: 0.5000 0.3570 0.1700
P: 0.5000 0.3873 0.8905
P: 0.5000 0.6127 0.3905
P: 0.5000 0.6430 0.6700
P: 0.5000 0.8123 0.5226
P: 0.7493 0.2285 0.2706
P: 0.7493 0.7715 0.7706
P: 0.7541 0.4113 0.4197
P: 0.7541 0.5887 0.9197

The 10 most intense peaks (2θ from 10° to 90°), most intense first:
19.8 deg, intensity 100, hkl 1 0 2
30.9 deg, intensity 90, hkl 2 0 2
23.3 deg, intensity 85, hkl 1 1 2
28.5 deg, intensity 84, hkl 0 2 2
28.1 deg, intensity 82, hkl 1 2 0
19.6 deg, intensity 76, hkl 1 1 1
27.4 deg, intensity 63, hkl 2 0 0
18.8 deg, intensity 61, hkl 0 1 2
33.4 deg, intensity 48, hkl 2 1 2
52.9 deg, intensity 47, hkl 1 2 6

***

LaNd3: computed powder XRD pattern (Cu Ka), based on a crystal structure in the Materials Project, relaxed with GGA-PBE.

Structure:
Cell lengths 5.2611, 5.2611, 5.2611 Å; angles 90.00, 90.00, 90.00 degrees
Positions (direct):
La: 0.0000 0.0000 0.0000
Nd: 0.0000 0.5000 0.5000
Nd: 0.5000 0.0000 0.5000
Nd: 0.5000 0.5000 0.0000

The 8 most intense peaks (2θ from 10° to 90°), most intense first:
29.4 deg, intensity 100, hkl 1 1 1
34.1 deg, intensity 51, hkl 2 0 0
58.2 deg, intensity 44, hkl 3 1 1
49.0 deg, intensity 37, hkl 2 2 0
79.4 deg, intensity 18, hkl 3 3 1
81.9 deg, intensity 16, hkl 4 2 0
61.0 deg, intensity 13, hkl 2 2 2
71.8 deg, intensity 6, hkl 4 0 0